For Er2Mn3Ga, a DFT-relaxed cell (GGA-PBE, the Materials Project) gives the theoretical X-ray powder pattern in this record (copper Kα).
Kinematic intensities with the Lorentz-polarization factor, no thermal factor.

Crystal structure
```
data_Er2Mn3Ga
_cell_length_a 5.389
_cell_length_b 5.389
_cell_length_c 8.445
_cell_angle_alpha 90.00
_cell_angle_beta 90.00
_cell_angle_gamma 120.00
_space_group_name_H-M_alt 'P 1'
_space_group_IT_number 1
loop_
_space_group_symop_operation_xyz
'x,y,z'
loop_
_atom_site_label
_atom_site_type_symbol
_atom_site_fract_x
_atom_site_fract_y
_atom_site_fract_z
Er1 Er 0.333 0.667 0.065
Er2 Er 0.333 0.667 0.435
Er3 Er 0.667 0.333 0.565
Er4 Er 0.667 0.333 0.935
Mn1 Mn 0.174 0.348 0.750
Mn2 Mn 0.174 0.826 0.750
Mn3 Mn 0.348 0.174 0.250
Mn4 Mn 0.652 0.826 0.750
Mn5 Mn 0.826 0.174 0.250
Mn6 Mn 0.826 0.652 0.250
Ga1 Ga 0.000 0.000 0.000
Ga2 Ga 0.000 0.000 0.500
```

Peak list (12 most intense, 10 to 80 degrees two-theta, by angle)
2θ (°)	d (Å)	Rel. int.	index
19.0	4.667	130	1 0 0
21.8	4.085	124	1 0 1
33.3	2.694	782	1 1 0
37.3	2.410	983	1 0 3
38.6	2.333	131	2 0 0
39.7	2.271	1000	1 1 2
40.1	2.249	508	2 0 1
59.4	1.556	149	3 0 0
62.1	1.495	397	2 1 3
63.8	1.460	245	3 0 2
68.6	1.368	240	2 0 5
69.8	1.347	279	2 2 0

***

For Sn5S4Cl2, a DFT-relaxed cell (GGA-PBE, the Materials Project) gives the theoretical X-ray powder pattern in this record (copper Kα).
Kinematic intensities with the Lorentz-polarization factor, no thermal factor.

Crystal structure
```
data_Sn5S4Cl2
_cell_length_a 7.317
_cell_length_b 9.223
_cell_length_c 10.590
_cell_angle_alpha 67.57
_cell_angle_beta 69.99
_cell_angle_gamma 66.74
_space_group_name_H-M_alt 'P 1'
_space_group_IT_number 1
loop_
_space_group_symop_operation_xyz
'x,y,z'
loop_
_atom_site_label
_atom_site_type_symbol
_atom_site_fract_x
_atom_site_fract_y
_atom_site_fract_z
Sn1 Sn 0.064 0.289 0.242
Sn2 Sn 0.194 0.133 0.933
Sn3 Sn 0.254 0.367 0.568
Sn4 Sn 0.338 0.752 0.254
Sn5 Sn 0.405 0.788 0.743
Sn6 Sn 0.595 0.212 0.257
Sn7 Sn 0.662 0.248 0.746
Sn8 Sn 0.746 0.633 0.432
Sn9 Sn 0.806 0.867 0.067
Sn10 Sn 0.936 0.711 0.758
S1 S 0.001 0.008 0.814
S2 S 0.174 0.512 0.315
S3 S 0.277 0.642 0.562
S4 S 0.481 0.857 0.940
S5 S 0.519 0.143 0.060
S6 S 0.723 0.358 0.438
S7 S 0.826 0.488 0.685
S8 S 0.999 0.992 0.186
Cl1 Cl 0.254 0.053 0.434
Cl2 Cl 0.257 0.554 0.935
Cl3 Cl 0.743 0.446 0.065
Cl4 Cl 0.746 0.947 0.566
```

Peak list (12 most intense, 10 to 80 degrees two-theta, by angle)
2θ (°)	d (Å)	Rel. int.	index
16.2	5.461	373	0 1 -1
21.9	4.057	319	0 2 0
24.4	3.651	1000	0 2 2
26.1	3.416	363	2 1 0
27.3	3.270	245	2 0 0
27.4	3.260	643	1 -1 2
28.3	3.156	403	1 1 -2
29.7	3.008	265	1 3 2
32.5	2.756	679	2 3 2
34.1	2.633	408	1 0 -3
34.6	2.592	259	1 2 -2
39.7	2.269	250	1 -3 0